(1)
Structure and simulated powder X-ray diffraction pattern of Zn2Ga3Sn (a crystal structure in Alexandria, relaxed with PBE; a wavelength of 1.5418 Å).

Top 12 peaks for 5° ≤ 2θ ≤ 70°, sorted by position:
Position (°2θ)  I (rel.)
30.2  22
34.0  16
34.6  100
34.8  70
39.2  80
43.0  37
43.2  35
43.8  39
46.1  14
61.2  19
66.6  31
69.6  21

Structure:
```
12
Lattice="6.6395 0.0000 0.0000 0.0000 5.2737 0.0000 -0.0575 0.0000 6.6412" Properties=species:S:1:pos:R:3 pbc="T T T"
Zn 1.6405 5.2736 1.6618
Zn 1.6405 2.6371 1.6618
Zn 4.9415 0.0002 4.9794
Zn 4.9415 2.6367 4.9794
Ga 0.5914 1.3184 5.9368
Ga 2.5931 1.3184 3.9526
Ga 2.8868 3.9553 6.2626
Ga 3.6952 1.3184 0.3786
Ga 3.9889 3.9553 2.6886
Ga 5.9906 3.9553 0.7043
Sn 0.8667 3.9553 4.2267
Sn 5.7153 1.3184 2.4145
```

(2)
Structure and simulated powder X-ray diffraction pattern of Zn2Ga5Sn (a crystal structure in Alexandria, relaxed with PBE; a wavelength of 1.5418 Å).

Top 12 peaks for 5° ≤ 2θ ≤ 70°, sorted by position:
Position (°2θ)  I (rel.)
14.7  7
26.1  14
29.6  33
31.0  42
35.9  100
40.8  67
43.4  47
43.8  32
49.9  7
56.7  12
61.4  47
66.0  7

Structure:
```
8
Lattice="-2.0688 3.2494 6.0336 2.0688 -3.2494 6.0336 2.0688 3.2494 -6.0336" Properties=species:S:1:pos:R:3 pbc="T T T"
Zn 0.0000 0.0000 2.6953
Zn 0.0000 0.0000 9.3719
Ga 0.0000 0.0000 0.0000
Ga 2.0688 1.4578 -1.4587
Ga 2.0688 1.4578 1.4587
Ga 0.0000 1.7916 4.5749
Ga 0.0000 1.7916 7.4923
Sn 0.0000 3.2494 0.0000
```

(3)
Structure and simulated powder X-ray diffraction pattern of ZnGa3Sn (a crystal structure in Alexandria, relaxed with PBE; a wavelength of 1.5418 Å).

Top 12 peaks for 5° ≤ 2θ ≤ 70°, sorted by position:
Position (°2θ)  I (rel.)
31.5  29
31.8  74
32.1  55
35.7  41
36.6  100
37.2  24
37.6  18
38.0  28
43.3  35
45.4  45
45.7  45
45.8  21

Structure:
```
20
Lattice="6.5002 -5.4499 0.0000 6.5002 5.4499 0.0000 -3.1858 0.0000 5.6730" Properties=species:S:1:pos:R:3 pbc="T T T"
Zn 2.7502 3.8424 4.3079
Zn 5.4715 3.8424 4.2016
Zn 4.3432 -3.8424 1.4714
Zn 7.0644 -3.8424 1.3651
Ga 3.0248 2.6788 1.9314
Ga 4.9032 1.6430 0.2636
Ga 1.1155 0.0565 3.6680
Ga 2.7085 -0.0565 0.8315
Ga 8.3827 2.6788 0.9051
Ga 6.5043 1.6430 2.5729
Ga 3.3103 -1.6430 3.1000
Ga 1.4319 -2.6788 4.7679
Ga 7.1062 0.0565 4.8415
Ga 8.6991 -0.0565 2.0050
Ga 4.9114 -1.6430 5.4094
Ga 6.7898 -2.6788 3.7416
Sn 5.7038 4.4512 1.4182
Sn 4.1109 1.0912 4.2547
Sn 5.7038 -1.0912 1.4182
Sn 4.1109 -4.4512 4.2547
```

(4)
Structure and simulated powder X-ray diffraction pattern of Zn2Ga10Sn (a crystal structure in Alexandria, relaxed with PBE; a wavelength of 1.5418 Å).

Top 12 peaks for 5° ≤ 2θ ≤ 70°, sorted by position:
Position (°2θ)  I (rel.)
31.4  24
32.6  64
36.8  100
37.8  64
38.0  66
38.3  72
41.6  35
41.8  33
42.8  27
60.3  17
65.4  19
68.3  36

Structure:
```
13
Lattice="0.0000 6.6249 6.6793 2.8531 0.0000 6.6793 2.8531 6.6249 0.0000" Properties=species:S:1:pos:R:3 pbc="T T T"
Zn 1.4266 3.3125 0.0000
Zn 1.4266 3.3125 6.6793
Ga 1.4266 0.0000 3.3397
Ga 2.8531 1.4212 5.2857
Ga 2.8531 4.2868 4.3623
Ga 2.8531 1.4212 8.0729
Ga 2.8531 4.2868 8.9963
Ga 1.4266 6.6249 3.3397
Ga 2.8531 8.9630 4.3623
Ga 2.8531 11.8286 5.2857
Ga 2.8531 8.9630 8.9963
Ga 2.8531 11.8286 8.0729
Sn 2.8531 6.6249 6.6793
```

(5)
Structure and simulated powder X-ray diffraction pattern of Zr5Ga2Sn (a crystal structure in Alexandria, relaxed with PBE; a wavelength of 1.5418 Å).

Top 12 peaks for 5° ≤ 2θ ≤ 70°, sorted by position:
Position (°2θ)  I (rel.)
33.3  20
34.7  100
37.6  25
38.8  55
43.0  7
45.3  8
49.8  5
56.1  18
58.2  5
59.3  5
61.1  10
67.8  6

Structure:
```
16
Lattice="-3.6667 3.6667 6.3043 3.6667 -3.6667 6.3043 3.6667 3.6667 -6.3043" Properties=species:S:1:pos:R:3 pbc="T T T"
Zr 0.0000 0.0000 0.0000
Zr 4.8302 1.1635 -1.8853
Zr 1.1635 2.5033 -1.8853
Zr 4.8302 1.1635 1.8853
Zr 1.1635 2.5033 1.8853
Zr 0.0000 0.0000 6.3043
Zr 2.5033 1.1635 4.4190
Zr -1.1635 2.5033 4.4190
Zr 2.5033 1.1635 8.1896
Zr -1.1635 2.5033 8.1896
Ga 2.6641 1.0026 0.0000
Ga 2.6641 -1.0026 6.3043
Ga 1.0026 4.6694 0.0000
Ga 1.0026 2.6641 6.3043
Sn 0.0000 0.0000 3.1521
Sn 0.0000 0.0000 9.4564
```

(6)
Structure and simulated powder X-ray diffraction pattern of SrGa2 (a crystal structure in Alexandria, relaxed with PBE; a wavelength of 1.5418 Å).

Top 10 peaks for 5° ≤ 2θ ≤ 70°, sorted by position:
Position (°2θ)  I (rel.)
18.4  7
23.6  1
30.1  100
37.4  20
41.5  44
45.8  4
52.1  21
57.1  33
63.0  12
68.7  18

Structure:
```
3
Lattice="4.3515 0.0000 0.0000 -2.1757 3.7685 0.0000 0.0000 0.0000 4.8115" Properties=species:S:1:pos:R:3 pbc="T T T"
Sr 0.0000 0.0000 0.0000
Ga 0.0000 2.5123 2.4058
Ga 2.1757 1.2562 2.4058
```

(7)
Structure and simulated powder X-ray diffraction pattern of Sr5Ga6 (a crystal structure in Alexandria, relaxed with PBE; a wavelength of 1.5418 Å).

Top 12 peaks for 5° ≤ 2θ ≤ 70°, sorted by position:
Position (°2θ)  I (rel.)
28.8  100
29.3  67
34.1  38
37.4  35
37.6  38
37.8  22
41.0  29
51.2  28
54.1  24
55.9  16
56.8  22
62.5  23

Structure:
```
11
Lattice="2.2024 -15.7697 0.0000 2.2024 15.7697 0.0000 0.0000 0.0000 4.7879" Properties=species:S:1:pos:R:3 pbc="T T T"
Sr 0.0000 0.0000 0.0000
Sr 2.2024 9.5781 2.3940
Sr 2.2024 3.5992 0.0000
Sr 2.2024 -3.5992 0.0000
Sr 2.2024 -9.5781 2.3940
Ga 2.2024 13.1284 2.3940
Ga 2.2024 7.1863 0.0000
Ga 2.2024 1.2574 2.3940
Ga 2.2024 -1.2574 2.3940
Ga 2.2024 -7.1863 0.0000
Ga 2.2024 -13.1284 2.3940
```

(8)
Structure and simulated powder X-ray diffraction pattern of Sr8Ga7 (a crystal structure in Alexandria, relaxed with PBE; a wavelength of 1.5418 Å).

Top 12 peaks for 5° ≤ 2θ ≤ 70°, sorted by position:
Position (°2θ)  I (rel.)
26.6  48
28.5  24
29.4  100
30.3  82
32.0  33
32.8  29
35.9  33
36.6  63
38.7  65
46.5  26
48.8  26
53.3  24

Structure:
```
60
Lattice="12.5162 0.0000 0.0000 0.0000 12.5162 0.0000 0.0000 0.0000 12.5162" Properties=species:S:1:pos:R:3 pbc="T T T"
Sr 0.0642 2.4818 11.7859
Sr 0.2809 2.5768 5.4684
Sr 0.7303 6.3223 3.7763
Sr 0.7897 12.2353 8.8349
Sr 2.3231 10.1931 3.9350
Sr 2.3518 8.6099 10.1643
Sr 2.4818 11.7859 0.0642
Sr 2.5768 5.4684 0.2809
Sr 3.6813 7.0478 6.5390
Sr 3.7763 0.7303 6.3223
Sr 3.9063 3.9063 3.9063
Sr 3.9350 2.3231 10.1931
Sr 5.4684 0.2809 2.5768
Sr 5.5278 6.1939 10.0344
Sr 5.9772 9.9394 11.7265
Sr 6.1939 10.0344 5.5278
Sr 6.3223 3.7763 0.7303
Sr 6.5390 3.6813 7.0478
Sr 6.9884 12.4520 8.7399
Sr 7.0478 6.5390 3.6813
Sr 8.5812 8.5812 8.5812
Sr 8.6099 10.1643 2.3518
Sr 8.7399 6.9884 12.4520
Sr 8.8349 0.7897 12.2353
Sr 9.9394 11.7265 5.9772
Sr 10.0344 5.5278 6.1939
Sr 10.1643 2.3518 8.6099
Sr 10.1931 3.9350 2.3231
Sr 11.7265 5.9772 9.9394
Sr 11.7859 0.0642 2.4818
Sr 12.2353 8.8349 0.7897
Sr 12.4520 8.7399 6.9884
Ga 0.8309 5.4272 7.0890
Ga 0.9279 3.1654 8.6730
Ga 0.9862 3.1674 2.3236
Ga 2.3236 0.9862 3.1674
Ga 2.4149 5.3301 9.3508
Ga 3.0927 3.8432 7.1860
Ga 3.0907 10.1926 7.2443
Ga 3.1674 2.3236 0.9862
Ga 3.1654 8.6730 0.9279
Ga 3.8432 7.1860 3.0927
Ga 3.9345 11.5300 9.4255
Ga 5.2719 9.3488 8.5817
Ga 5.3301 9.3508 2.4149
Ga 5.4272 7.0890 0.8309
Ga 7.0890 0.8309 5.4272
Ga 7.1860 3.0927 3.8432
Ga 7.2443 3.0907 10.1926
Ga 8.5817 5.2719 9.3488
Ga 8.6730 0.9279 3.1654
Ga 9.3508 2.4149 5.3301
Ga 9.3488 8.5817 5.2719
Ga 9.4255 3.9345 11.5300
Ga 9.4235 10.1013 11.5882
Ga 10.1013 11.5882 9.4235
Ga 10.1926 7.2443 3.0907
Ga 11.5300 9.4255 3.9345
Ga 11.5882 9.4235 10.1013
Ga 11.6853 11.6853 11.6853
```

(9)
Structure and simulated powder X-ray diffraction pattern of Sr3Ga4 (a crystal structure in Alexandria, relaxed with PBE; a wavelength of 1.5418 Å).

Top 12 peaks for 5° ≤ 2θ ≤ 70°, sorted by position:
Position (°2θ)  I (rel.)
29.1  100
29.4  63
33.2  39
37.4  37
38.2  37
39.2  20
41.5  28
46.5  16
51.6  25
54.5  25
54.8  16
57.1  21

Structure:
```
7
Lattice="-2.1757 2.4048 9.8232 2.1757 -2.4048 9.8232 2.1757 2.4048 -9.8232" Properties=species:S:1:pos:R:3 pbc="T T T"
Sr 0.0000 0.0000 0.0000
Sr 2.1757 0.0000 3.6032
Sr 0.0000 2.4048 6.2199
Ga 2.1757 0.0000 7.1716
Ga 0.0000 0.0000 8.5669
Ga 0.0000 0.0000 11.0794
Ga 0.0000 2.4048 2.6516
```

(10)
Structure and simulated powder X-ray diffraction pattern of SrTbGa2 (a crystal structure in Alexandria, relaxed with PBE; a wavelength of 1.5418 Å).

Top 12 peaks for 5° ≤ 2θ ≤ 70°, sorted by position:
Position (°2θ)  I (rel.)
16.7  9
23.6  8
24.3  4
29.6  4
33.7  52
34.2  100
42.0  4
45.5  3
48.4  19
49.8  9
60.6  38
61.5  18

Structure:
```
4
Lattice="5.3215 0.0000 0.0000 0.0000 5.3215 0.0000 0.0000 0.0000 3.6609" Properties=species:S:1:pos:R:3 pbc="T T T"
Sr 0.0000 0.0000 0.0000
Tb 2.6608 2.6608 0.0000
Ga 0.0000 2.6608 1.8304
Ga 2.6608 0.0000 1.8304
```

(11)
Structure and simulated powder X-ray diffraction pattern of Sr6Tl2Ga (a crystal structure in Alexandria, relaxed with PBE; a wavelength of 1.5418 Å).

Top 12 peaks for 5° ≤ 2θ ≤ 70°, sorted by position:
Position (°2θ)  I (rel.)
16.0  19
19.2  25
28.8  100
29.1  25
29.9  63
31.3  37
34.3  18
43.2  17
50.1  15
54.2  17
54.8  27
60.3  18

Structure:
```
18
Lattice="11.0740 0.0000 0.0000 0.0000 11.0831 0.0000 0.0000 0.0000 5.7148" Properties=species:S:1:pos:R:3 pbc="T T T"
Sr 0.3220 2.2570 0.0000
Sr 1.2745 6.8105 2.8574
Sr 2.2517 10.7538 2.8574
Sr 3.2853 5.2122 0.0000
Sr 4.2625 1.2689 0.0000
Sr 5.2150 7.7986 2.8574
Sr 5.8590 3.2845 2.8574
Sr 6.8115 9.8142 0.0000
Sr 7.7887 5.8709 0.0000
Sr 8.8223 0.3293 2.8574
Sr 9.7995 4.2726 2.8574
Sr 10.7520 8.8261 0.0000
Tl 2.3010 3.2286 2.8574
Tl 3.2360 8.7702 0.0000
Tl 7.8380 2.3129 0.0000
Tl 8.7730 7.8545 2.8574
Ga 0.0000 5.5416 0.0000
Ga 5.5370 0.0000 2.8574
```

(12)
Structure and simulated powder X-ray diffraction pattern of Sr6Tl2Ga (a crystal structure in Alexandria, relaxed with PBE; a wavelength of 1.5418 Å).

Top 12 peaks for 5° ≤ 2θ ≤ 70°, sorted by position:
Position (°2θ)  I (rel.)
12.3  36
28.7  100
30.9  50
33.4  14
38.3  30
44.3  19
49.4  12
53.7  34
59.5  7
60.0  16
60.7  13
69.7  9

Structure:
```
9
Lattice="0.0000 7.1843 8.6823 2.8874 0.0000 8.6823 2.8874 7.1843 0.0000" Properties=species:S:1:pos:R:3 pbc="T T T"
Sr 2.8874 1.8874 8.6823
Sr 2.8874 5.2373 5.8600
Sr 2.8874 9.1313 5.8600
Sr 2.8874 5.2373 11.5045
Sr 2.8874 9.1313 11.5045
Sr 2.8874 12.4812 8.6823
Tl 2.8874 7.1843 2.9384
Tl 2.8874 7.1843 14.4261
Ga 2.8874 7.1843 8.6823
```